(1)
TiGeP2: computed powder X-ray diffraction pattern (Cu Kα (λ = 1.5418 Å)), based on a structure optimized by DFT (GGA-PBE).
Intensities are scaled so that the largest is 100.

Peak list (10 most intense, 15 to 90 degrees two-theta, in order of rising 2θ)
Position (°2θ), Rel. int., hkl
26.6, 23, 0 0 6
29.9, 49, 1 0 1
30.9, 62, 0 1 2
34.6, 37, 1 0 4
37.2, 100, 0 1 5
43.4, 81, 1 0 7
47.0, 18, 0 1 8
52.5, 63, 1 1 0
70.4, 18, 0 2 7
79.2, 25, 1 1 12

Structure:
Unit cell a=3.4889 b=3.4889 c=20.1414 alpha=90.00 beta=90.00 gamma=120.00
Space group R3m (No. 160, hexagonal axes)
Asymmetric unit:
1 Ti 0.0000 0.0000 0.0000 [3 per cell]
2 Ge 0.0000 0.0000 0.1571 [3 per cell]
3 P 0.0000 0.0000 0.4144 [3 per cell]
4 P 0.0000 0.0000 0.5975 [3 per cell]


(2)
TlGeP: computed powder X-ray diffraction pattern (Cu Kα (λ = 1.5418 Å)), based on a structure optimized by DFT (GGA-PBE).
Intensities are scaled so that the largest is 100.

Peak list (10 most intense, 15 to 90 degrees two-theta, in order of rising 2θ)
Position (°2θ), Rel. int., hkl
20.8, 45, 1 0 1
29.6, 100, 0 1 2
32.0, 44, 2 -1 1
34.3, 17, 2 0 0
36.5, 12, 2 0 1
47.7, 31, 1 2 1
50.9, 22, 0 2 3
52.4, 16, 1 0 4
52.5, 12, 3 -1 2
54.1, 12, 3 0 1

Structure:
Unit cell a=6.0300 b=6.0300 c=7.4115 alpha=90.00 beta=90.00 gamma=120.00
Space group P3_2 (No. 145)
Asymmetric unit:
1 Tl 0.1322 0.7687 0.0000 [3 per cell]
2 Ge 0.3713 0.2726 0.1692 [3 per cell]
3 P 0.2919 0.0215 0.4506 [3 per cell]


(3)
Tm4GeP3: computed powder X-ray diffraction pattern (Cu Kα (λ = 1.5418 Å)), based on a structure optimized by DFT (GGA-PBE).
Intensities are scaled so that the largest is 100.

Peak list (10 most intense, 15 to 90 degrees two-theta, in order of rising 2θ)
Position (°2θ), Rel. int., hkl
15.7, 1, 1 0 0
27.4, 69, 1 1 1
31.8, 100, 2 0 0
45.6, 73, 2 2 0
54.0, 33, 3 1 1
56.6, 26, 2 2 2
66.4, 12, 4 0 0
73.3, 14, 3 3 1
75.5, 33, 4 2 0
84.2, 25, 4 2 2

Structure:
Unit cell a=5.632 b=5.632 c=5.632 alpha=90.00 beta=90.00 gamma=90.00
Space group Pm-3m (No. 221)
Asymmetric unit:
1 Tm 0.000 0.000 0.000 [1 per cell]
2 Tm 0.000 0.500 0.500 [3 per cell]
3 Ge 0.500 0.500 0.500 [1 per cell]
4 P 0.000 0.000 0.500 [3 per cell]


(4)
GeP2W: computed powder X-ray diffraction pattern (Cu Kα (λ = 1.5418 Å)), based on a structure optimized by DFT (GGA-PBE).
Intensities are scaled so that the largest is 100.

Peak list (10 most intense, 15 to 90 degrees two-theta, in order of rising 2θ)
Position (°2θ), Rel. int., hkl
17.9, 24, 1 0 1
28.0, 100, 1 1 2
32.0, 19, 2 0 0
33.3, 9, 0 0 4
45.8, 19, 2 2 0
46.9, 35, 2 0 4
54.6, 31, 3 1 2
56.4, 17, 1 1 6
75.5, 13, 3 1 6
85.6, 12, 4 2 4

Structure:
Unit cell a=5.601 b=5.601 c=10.750 alpha=90.00 beta=90.00 gamma=90.00
Space group I-42d (No. 122)
Asymmetric unit:
1 Ge 0.000 0.000 0.000 [4 per cell]
2 P 0.237 0.250 0.625 [8 per cell]
3 W 0.000 0.000 0.500 [4 per cell]